# 1
Calculated X-ray diffraction stick pattern
Compound: Mn4Zn10Co
Radiation: Cu Kα, 1.54184 Å
Structure: DFT lattice parameters and positions (GGA-PBE)

The 6 most intense peaks (10 to 90 degrees two-theta), in order of rising 2θ:
| 2θ (°) | d [Å] | I (rel.) |
| --- | --- | --- |
| 26.9 | 3.320 | 375 |
| 33.4 | 2.683 | 547 |
| 40.5 | 2.226 | 345 |
| 42.8 | 2.113 | 1000 |
| 46.4 | 1.958 | 339 |
| 47.9 | 1.898 | 460 |

Crystal structure
```
15
Lattice="-4.243 4.243 3.428 4.243 -4.243 3.428 4.243 4.243 -3.428" Properties=species:S:1:pos:R:3 pbc="T T T"
Mn 1.995 0.493 0.000
Mn 3.750 -2.248 3.428
Mn 0.493 6.491 0.000
Mn 2.248 3.750 3.428
Zn 3.274 2.472 -1.290
Zn 1.771 -0.969 2.138
Zn 4.243 0.000 1.714
Zn 2.472 5.212 -1.290
Zn 3.274 2.472 1.290
Zn 0.969 1.771 2.138
Zn 1.771 -0.969 4.718
Zn 0.000 4.243 1.714
Zn 2.472 5.212 1.290
Zn 0.969 1.771 4.718
Co 0.000 0.000 3.428
```

=====

# 2
Calculated X-ray diffraction stick pattern
Compound: Tb12Si5Pb
Radiation: Cu Kα, 1.54184 Å
Structure: DFT lattice parameters and positions (GGA-PBE)

The 6 most intense peaks (10 to 90 degrees two-theta), in order of rising 2θ:
| 2θ (°) | d [Å] | I (rel.) |
| --- | --- | --- |
| 29.3 | 3.052 | 309 |
| 29.7 | 3.011 | 243 |
| 31.6 | 2.827 | 1000 |
| 33.4 | 2.681 | 486 |
| 34.3 | 2.613 | 362 |
| 35.0 | 2.566 | 308 |

Crystal structure
```
18
Lattice="-4.758 4.792 5.173 4.758 -4.792 5.173 4.758 4.792 -5.173" Properties=species:S:1:pos:R:3 pbc="T T T"
Tb 4.758 2.890 -2.789
Tb 2.573 1.729 0.000
Tb 6.943 1.729 0.000
Tb 1.923 4.792 -1.863
Tb 2.835 0.000 3.309
Tb 0.000 1.902 2.383
Tb 4.758 2.890 2.789
Tb 1.923 4.792 1.863
Tb 2.835 0.000 7.036
Tb -2.185 3.063 5.173
Tb 2.185 3.063 5.173
Tb 0.000 1.902 7.962
Si 0.000 0.000 0.000
Si 4.758 0.000 1.189
Si 0.000 3.575 0.000
Si 0.000 6.008 0.000
Si 0.000 4.792 3.984
Pb 0.000 0.000 5.173
```

=====

# 3
Calculated X-ray diffraction stick pattern
Compound: Er3CuBi
Radiation: Cu Kα, 1.54184 Å
Structure: DFT lattice parameters and positions (GGA-PBE)

The 6 most intense peaks (10 to 90 degrees two-theta), in order of rising 2θ:
| 2θ (°) | d [Å] | I (rel.) |
| --- | --- | --- |
| 27.4 | 3.250 | 542 |
| 30.9 | 2.893 | 1000 |
| 34.4 | 2.610 | 821 |
| 34.8 | 2.579 | 869 |
| 35.6 | 2.523 | 479 |
| 36.7 | 2.446 | 475 |

Crystal structure
```
10
Lattice="6.352 0.000 0.000 0.000 5.221 0.000 0.000 0.000 8.305" Properties=species:S:1:pos:R:3 pbc="T T T"
Er 0.000 0.000 0.000
Er 1.588 0.000 3.142
Er 1.588 2.610 6.048
Er 3.176 0.000 0.000
Er 4.764 0.000 5.163
Er 4.764 2.610 2.257
Cu 1.588 0.000 5.868
Cu 4.764 0.000 2.437
Bi 1.588 2.610 1.235
Bi 4.764 2.610 7.071
```

=====

# 4
Calculated X-ray diffraction stick pattern
Compound: PrY3Se4
Radiation: Cu Kα, 1.54184 Å
Structure: DFT lattice parameters and positions (GGA-PBE)

The 6 most intense peaks (10 to 90 degrees two-theta), in order of rising 2θ:
| 2θ (°) | d [Å] | I (rel.) |
| --- | --- | --- |
| 30.0 | 2.981 | 881 |
| 31.9 | 2.806 | 806 |
| 41.5 | 2.176 | 202 |
| 44.3 | 2.046 | 1000 |
| 71.6 | 1.318 | 267 |
| 81.5 | 1.181 | 289 |

Crystal structure
```
16
Lattice="4.091 0.000 0.000 -2.046 3.543 0.000 0.000 0.000 27.579" Properties=species:S:1:pos:R:3 pbc="T T T"
Pr 0.000 2.362 6.895
Pr 2.046 1.181 20.684
Y 0.000 0.000 0.000
Y 0.000 0.000 13.790
Y 0.000 2.362 17.132
Y 0.000 2.362 24.237
Y 2.046 1.181 3.342
Y 2.046 1.181 10.448
Se 0.000 0.000 4.997
Se 0.000 0.000 8.792
Se 0.000 0.000 18.787
Se 0.000 0.000 22.582
Se 0.000 2.362 1.678
Se 0.000 2.362 12.112
Se 2.046 1.181 15.467
Se 2.046 1.181 25.902
```